(1)
# KH4Os
Calculated PXRD pattern, Cu Kα (weighted mean of Kα1 and Kα2). Input: DFT lattice parameters and positions (GGA-PBE).
Kinematic intensities with the Lorentz-polarization factor, no thermal factor.

Atomic structure:
a = 11.585 Å, b = 6.113 Å, c = 4.722 Å
α = 90.00°, β = 103.17°, γ = 90.00°
Space group C2/m (No. 12)
One atom of each set of equivalent atoms:
K  0.183  0.000  0.182
H  0.000  0.291  0.000
H  0.108  0.316  0.528
H  0.182  0.500  0.237
Os  0.044  0.500  0.279

Principal peaks in the range 2θ from 15° to 90°, in order of rising 2θ:
Position (°2θ)	I/Imax	hkl
15.7	35	2 0 0
16.5	100	1 1 0
27.7	15	2 0 1
27.9	29	3 1 0
29.2	24	0 2 0
30.8	17	3 1 -1
33.3	15	2 2 0
37.2	12	3 1 1
41.0	16	1 1 -2
51.3	14	5 1 1

=====

(2)
# KP3H12
Calculated PXRD pattern, Cu Kα (weighted mean of Kα1 and Kα2). Input: DFT lattice parameters and positions (GGA-PBE).
Kinematic intensities with the Lorentz-polarization factor, no thermal factor.

Atomic structure:
a = 8.4328 Å, b = 8.4328 Å, c = 26.3790 Å
α = 90.00°, β = 90.00°, γ = 120.00°
Space group R3c (No. 161, hexagonal axes)
One atom of each set of equivalent atoms:
K  0.0000  0.0000  0.0000
P  0.0727  0.3900  0.2627
H  0.0144  0.5040  0.3636
H  0.0218  0.5049  0.4571
H  0.0315  0.4677  0.3352
H  0.1160  0.3557  0.9250

Principal peaks in the range 2θ from 15° to 90°, in order of rising 2θ:
Position (°2θ)	I/Imax	hkl
18.1	20	1 0 4
20.2	18	0 0 6
23.4	100	1 1 3
25.3	29	2 0 2
27.9	17	0 2 4
29.3	60	1 1 6
32.6	20	2 1 1
35.2	25	2 1 4
36.9	21	3 0 0
37.4	24	1 1 9